The following is a computed powder diffractogram of SiN2F4. It was derived from a structure optimized by DFT (GGA-PBE), using Cu Kα.
Neutral-atom scattering factors, no anomalous dispersion.

Principal peaks in the range 2θ from 10° to 90°, by angle:
14.7°, I 100.0; 16.6°, I 45.0; 17.9°, I 61.6; 20.5°, I 14.0; 23.7°, I 28.5; 29.7°, I 13.7; 36.4°, I 10.0; 47.4°, I 14.8

Cell and atoms:
a = 5.4035 Å, b = 5.4443 Å, c = 36.0373 Å
α = 90.00°, β = 90.00°, γ = 90.00°
Space group Immm (No. 71)
Inequivalent atoms, fractional coordinates:
Si  0.0000  0.0000  0.0000 [2 per cell]
Si  0.0000  0.5000  0.1785 [4 per cell]
N  0.0000  0.0000  0.0583 [4 per cell]
N  0.0000  0.5000  0.1194 [4 per cell]
N  0.0000  0.5000  0.2371 [4 per cell]
F  0.2150  0.2139  0.0000 [8 per cell]
F  0.2147  0.2864  0.1780 [16 per cell]

---

The following is a computed powder diffractogram of Na4MgCuAs2O8. It was derived from a structure optimized by DFT (GGA-PBE), using Cu Kα.
Neutral-atom scattering factors, no anomalous dispersion.

Principal peaks in the range 2θ from 10° to 90°, by angle:
18.1°, I 37.6; 19.1°, I 41.5; 20.5°, I 100.0; 21.1°, I 63.6; 29.6°, I 76.5; 30.2°, I 58.2; 30.9°, I 67.6; 33.3°, I 35.6

Cell and atoms:
a = 5.3926 Å, b = 6.5566 Å, c = 6.9849 Å
α = 92.89°, β = 91.16°, γ = 94.70°
Space group P-1 (No. 2)
Inequivalent atoms, fractional coordinates:
Na  0.1084  0.2426  0.2365 [2 per cell]
Na  0.3515  0.7169  0.0098 [2 per cell]
Mg  0.5000  0.0000  0.5000 [1 per cell]
Cu  0.5000  0.5000  0.5000 [1 per cell]
As  0.1385  0.1809  0.7414 [2 per cell]
O  0.1836  0.8725  0.2834 [2 per cell]
O  0.2245  0.3473  0.9381 [2 per cell]
O  0.2802  0.9470  0.7513 [2 per cell]
O  0.3013  0.2618  0.5270 [2 per cell]